(1)
For CaPr2Co, the PBE geometry in Alexandria gives the calculated XRD peak list in this record (Cu Kα).
Lines closer than 0.1° are merged.

Main lines, in order of rising 2θ (2θ = 15–90°):
| 2θ (°) | intensity |
| --- | --- |
| 25.8 | 229 |
| 28.2 | 229 |
| 28.5 | 548 |
| 30.1 | 1000 |
| 36.1 | 441 |
| 40.9 | 181 |
| 45.1 | 420 |
| 49.1 | 299 |
| 54.0 | 223 |
| 55.2 | 176 |

Structure:
```
CaPr2Co
1.0
2.0102 1.1606 9.4997
-2.0102 1.1606 9.4997
0.0000 -2.3212 9.4997
Ca Pr Co
1 2 1
direct
0.0000 0.0000 0.0000
0.2207 0.2207 0.2207
0.4489 0.4489 0.4489
0.8350 0.8350 0.8350
```

(2)
For AcCeRhAu, the PBE geometry in Alexandria gives the calculated XRD peak list in this record (Cu Kα).
Lines closer than 0.1° are merged.

Main lines, in order of rising 2θ (2θ = 15–90°):
| 2θ (°) | intensity |
| --- | --- |
| 20.7 | 73 |
| 34.2 | 1000 |
| 40.3 | 45 |
| 49.1 | 182 |
| 53.9 | 20 |
| 61.2 | 378 |
| 65.4 | 16 |
| 72.0 | 117 |
| 75.9 | 16 |
| 82.2 | 167 |

Structure:
```
AcCeRhAu
1.0
0.0000 3.7083 3.7083
3.7083 0.0000 3.7083
3.7083 3.7083 0.0000
Ac Ce Rh Au
1 1 1 1
direct
0.0000 0.0000 0.0000
0.5000 0.5000 0.5000
0.7500 0.7500 0.7500
0.2500 0.2500 0.2500
```

(3)
For Tc3Sb5As, the PBE geometry in Alexandria gives the calculated XRD peak list in this record (Cu Kα).
Lines closer than 0.1° are merged.

Main lines, in order of rising 2θ (2θ = 15–90°):
| 2θ (°) | intensity |
| --- | --- |
| 29.7 | 770 |
| 30.8 | 695 |
| 31.2 | 1000 |
| 33.7 | 942 |
| 34.2 | 693 |
| 39.0 | 322 |
| 42.4 | 468 |
| 43.2 | 652 |
| 49.2 | 884 |
| 56.6 | 325 |

Structure:
```
Tc3Sb5As
1.0
6.0952 0.0000 0.0000
0.0000 3.2530 0.0000
-0.8288 0.0000 20.2740
Tc Sb As
6 10 2
direct
0.0000 0.0000 0.0000
0.0109 0.0000 0.6701
0.4783 0.5000 0.8274
0.5000 0.5000 0.5000
0.5217 0.5000 0.1726
0.9891 0.0000 0.3299
0.1770 0.0000 0.8802
0.1901 0.0000 0.5480
0.2062 0.0000 0.2142
0.2829 0.5000 0.3875
0.3237 0.5000 0.0482
0.6763 0.5000 0.9518
0.7171 0.5000 0.6125
0.7938 0.0000 0.7858
0.8099 0.0000 0.4520
0.8230 0.0000 0.1198
0.2608 0.5000 0.7251
0.7392 0.5000 0.2749
```

(4)
For Li7InAu3, the PBE geometry in Alexandria gives the calculated XRD peak list in this record (Cu Kα).
Lines closer than 0.1° are merged.

Main lines, in order of rising 2θ (2θ = 15–90°):
| 2θ (°) | intensity |
| --- | --- |
| 15.7 | 198 |
| 23.5 | 1000 |
| 27.2 | 184 |
| 31.0 | 181 |
| 33.0 | 207 |
| 38.4 | 311 |
| 38.9 | 261 |
| 41.7 | 120 |
| 43.3 | 175 |
| 47.8 | 251 |

Structure:
```
Li7InAu3
1.0
1.4558 -11.3162 0.0000
1.4558 11.3162 0.0000
0.0000 0.0000 12.0505
Li In Au
14 2 6
direct
0.0639 0.9361 0.6222
0.0639 0.9361 0.8778
0.1012 0.8988 0.0991
0.1012 0.8988 0.4009
0.1852 0.8148 0.7500
0.2234 0.7766 0.0989
0.2234 0.7766 0.4011
0.7766 0.2234 0.5989
0.7766 0.2234 0.9011
0.8148 0.1852 0.2500
0.8988 0.1012 0.5991
0.8988 0.1012 0.9009
0.9361 0.0639 0.1222
0.9361 0.0639 0.3778
0.4757 0.5243 0.7500
0.5243 0.4757 0.2500
0.3373 0.6627 0.7500
0.3403 0.6597 0.0595
0.3403 0.6597 0.4405
0.6597 0.3403 0.5595
0.6597 0.3403 0.9405
0.6627 0.3373 0.2500
```

(5)
For Ho3CoCl3, the PBE geometry in Alexandria gives the calculated XRD peak list in this record (Cu Kα).
Lines closer than 0.1° are merged.

Main lines, in order of rising 2θ (2θ = 15–90°):
| 2θ (°) | intensity |
| --- | --- |
| 27.7 | 457 |
| 29.8 | 307 |
| 31.5 | 499 |
| 31.6 | 1000 |
| 32.6 | 417 |
| 33.4 | 299 |
| 39.6 | 252 |
| 40.2 | 347 |
| 45.1 | 407 |
| 46.5 | 293 |

Structure:
```
Ho3CoCl3
1.0
8.2188 0.0000 0.0000
0.0000 3.9052 0.0000
-0.0811 0.0000 11.3692
Ho Co Cl
6 2 6
direct
0.1008 0.2500 0.3293
0.1466 0.2500 0.8616
0.2750 0.7500 0.1004
0.7250 0.2500 0.8996
0.8534 0.7500 0.1384
0.8992 0.7500 0.6707
0.0562 0.2500 0.0964
0.9438 0.7500 0.9036
0.1226 0.2500 0.5984
0.3315 0.7500 0.3513
0.4308 0.7500 0.8727
0.5692 0.2500 0.1273
0.6685 0.2500 0.6487
0.8774 0.7500 0.4016
```